[1]
Structure and computed powder diffractogram of Y3Mg3ZnCuPt (a DFT-relaxed cell (GGA-PBE, OQMD); Cu Ka).
Peak positions follow from Bragg's law for the DFT cell and can differ from measured ones.

Cell and atoms:
```
9
Lattice="7.5415 0.0000 0.0000 -3.7707 6.5311 0.0000 0.0000 0.0000 3.9967" Properties=species:S:1:pos:R:3 pbc="T T T"
Y -2.1260 4.8175 0.0000
Y 0.6617 2.2812 0.0000
Y 1.4644 5.9636 0.0000
Mg 2.8569 0.5976 1.9984
Mg 2.8598 3.7582 1.9984
Mg 5.5955 2.1754 1.9984
Zn 0.0000 0.0000 1.9984
Cu 3.7707 2.1770 0.0000
Pt 0.0000 4.3541 1.9984
```

The 8 most intense peaks (2θ = 10–80°), low angle first:
Position (°2θ), I (rel.)
13.56, 70
23.59, 46
32.65, 96
35.50, 100
36.40, 29
41.48, 39
43.07, 44
66.66, 25


[2]
Structure and computed powder diffractogram of YB2Pd2C (a DFT-relaxed cell (GGA-PBE, OQMD); Cu Ka).
Peak positions follow from Bragg's law for the DFT cell and can differ from measured ones.

Cell and atoms:
```
6
Lattice="-1.8934 1.8934 5.3763 1.8934 -1.8934 5.3763 1.8934 1.8934 -5.3763" Properties=species:S:1:pos:R:3 pbc="T T T"
Y 0.0000 0.0000 0.0000
B 0.0000 0.0000 3.9024
B 0.0000 0.0000 6.8502
Pd 1.8934 0.0000 2.6882
Pd 0.0000 1.8934 2.6882
C 0.0000 0.0000 5.3763
```

The 8 most intense peaks (2θ = 10–80°), low angle first:
Position (°2θ), I (rel.)
16.49, 27
24.93, 13
33.33, 32
34.45, 11
37.52, 100
48.03, 35
59.74, 23
62.35, 23


> Which formula does entry 2 have?

YB2Pd2C